No. 1
Starting from a structure optimized by DFT (PBE), the PXRD pattern of Al2O3 was simulated for copper Kα.
Peak positions follow from Bragg's law for the DFT cell and can differ from measured ones.

Largest 10 diffraction maxima, in order of rising 2θ, 10 to 90 degrees two-theta:
- 2θ 31.83, rel. 29
- 2θ 37.26, rel. 48
- 2θ 37.34, rel. 100
- 2θ 37.63, rel. 30
- 2θ 37.73, rel. 30
- 2θ 45.49, rel. 40
- 2θ 45.61, rel. 79
- 2θ 65.78, rel. 32
- 2θ 66.25, rel. 61
- 2θ 66.52, rel. 60

Crystal structure
```
data_Al2O3
_symmetry_space_group_name_H-M 'C 1 2/m 1'
_symmetry_Int_Tables_number 12
_cell_length_a 9.7540
_cell_length_b 5.6789
_cell_length_c 13.6747
_cell_angle_alpha 90.00
_cell_angle_beta 90.52
_cell_angle_gamma 90.00
loop_
_symmetry_equiv_pos_as_xyz
'x,y,z'
'-x,-y,-z'
'-x,y,-z'
'x,-y,z'
'x+1/2,y+1/2,z'
'-x+1/2,-y+1/2,-z'
'-x+1/2,y+1/2,-z'
'x+1/2,-y+1/2,z'
loop_
_atom_site_label
_atom_site_type_symbol
_atom_site_fract_x
_atom_site_fract_y
_atom_site_fract_z
Al1 Al 0.0054 0.0000 0.1225
Al2 Al 0.0819 0.2447 0.3396
Al3 Al 0.1553 0.5000 0.1604
Al4 Al 0.1635 0.0000 0.6610
Al5 Al 0.1652 0.5000 0.5477
Al6 Al 0.1723 0.5000 0.7932
Al7 Al 0.2500 0.2500 0.0000
O1 O 0.0006 0.0000 0.7419
O2 O 0.0089 0.5000 0.2520
O3 O 0.0820 0.2483 0.5943
O4 O 0.0971 0.2517 0.0866
O5 O 0.1658 0.0000 0.4059
O6 O 0.1662 0.5000 0.4127
O7 O 0.1745 0.0000 0.9171
O8 O 0.1786 0.5000 0.9212
O9 O 0.2429 0.2715 0.2541
```



No. 2
Starting from a structure optimized by DFT (PBE), the PXRD pattern of NbCoGe was simulated for copper Kα.
Peak positions follow from Bragg's law for the DFT cell and can differ from measured ones.

Largest 10 diffraction maxima, in order of rising 2θ, 10 to 90 degrees two-theta:
- 2θ 37.39, rel. 66
- 2θ 37.80, rel. 18
- 2θ 39.13, rel. 100
- 2θ 40.29, rel. 23
- 2θ 44.56, rel. 19
- 2θ 44.89, rel. 40
- 2θ 47.23, rel. 16
- 2θ 48.30, rel. 38
- 2θ 49.97, rel. 18
- 2θ 73.60, rel. 16

Crystal structure
```
data_NbCoGe
_symmetry_space_group_name_H-M 'P n m a'
_symmetry_Int_Tables_number 62
_cell_length_a 6.3612
_cell_length_b 3.7688
_cell_length_c 7.1737
_cell_angle_alpha 90.00
_cell_angle_beta 90.00
_cell_angle_gamma 90.00
loop_
_symmetry_equiv_pos_as_xyz
'x,y,z'
'-x,-y,-z'
'-x+1/2,-y,z+1/2'
'x+1/2,y,-z+1/2'
'x+1/2,-y+1/2,-z+1/2'
'-x+1/2,y+1/2,z+1/2'
'-x,y+1/2,-z'
'x,-y+1/2,z'
loop_
_atom_site_label
_atom_site_type_symbol
_atom_site_fract_x
_atom_site_fract_y
_atom_site_fract_z
Nb1 Nb 0.0210 0.2500 0.1854
Co1 Co 0.1398 0.2500 0.5636
Ge1 Ge 0.2319 0.7500 0.3833
```



No. 3
Starting from a structure optimized by DFT (PBE), the PXRD pattern of KAs4BrO6 was simulated for copper Kα.
Peak positions follow from Bragg's law for the DFT cell and can differ from measured ones.

Largest 10 diffraction maxima, in order of rising 2θ, 10 to 90 degrees two-theta:
- 2θ 19.22, rel. 30
- 2θ 27.28, rel. 100
- 2θ 33.52, rel. 58
- 2θ 34.97, rel. 22
- 2θ 43.75, rel. 13
- 2θ 44.91, rel. 14
- 2θ 49.25, rel. 14
- 2θ 52.37, rel. 15
- 2θ 56.21, rel. 24
- 2θ 60.99, rel. 17

Crystal structure
```
data_KAs4BrO6
_symmetry_space_group_name_H-M 'P 6/m m m'
_symmetry_Int_Tables_number 191
_symmetry_space_group_name_Hall '-P 6 2'
_cell_length_a 5.3471
_cell_length_b 5.3471
_cell_length_c 9.2311
_cell_angle_alpha 90.00
_cell_angle_beta 90.00
_cell_angle_gamma 120.00
loop_
_atom_site_label
_atom_site_type_symbol
_atom_site_fract_x
_atom_site_fract_y
_atom_site_fract_z
K1 K 0.0000 0.0000 0.0000
As1 As 0.3333 0.6667 0.2922
Br1 Br 0.0000 0.0000 0.5000
O1 O 0.0000 0.5000 0.1841
```



No. 4
Starting from a structure optimized by DFT (PBE), the PXRD pattern of AgPdF6 was simulated for copper Kα.
Peak positions follow from Bragg's law for the DFT cell and can differ from measured ones.

Largest 10 diffraction maxima, in order of rising 2θ, 10 to 90 degrees two-theta:
- 2θ 22.92, rel. 100
- 2θ 23.61, rel. 47
- 2θ 31.03, rel. 22
- 2θ 31.31, rel. 20
- 2θ 31.62, rel. 20
- 2θ 34.19, rel. 9
- 2θ 34.59, rel. 9
- 2θ 34.91, rel. 9
- 2θ 46.83, rel. 12
- 2θ 50.60, rel. 24

Crystal structure
```
data_AgPdF6
_symmetry_space_group_name_H-M 'P -1'
_symmetry_Int_Tables_number 2
_cell_length_a 5.1424
_cell_length_b 5.1880
_cell_length_c 10.2283
_cell_angle_alpha 76.62
_cell_angle_beta 77.07
_cell_angle_gamma 61.03
loop_
_symmetry_equiv_pos_as_xyz
'x,y,z'
'-x,-y,-z'
loop_
_atom_site_label
_atom_site_type_symbol
_atom_site_fract_x
_atom_site_fract_y
_atom_site_fract_z
Ag1 Ag 0.0000 0.0000 0.0000
Ag2 Ag 0.5000 0.5000 0.5000
Pd1 Pd 0.2021 0.2824 0.2498
F1 F 0.0687 0.6823 0.8682
F2 F 0.1384 0.4446 0.6343
F3 F 0.1648 0.9460 0.3639
F4 F 0.2553 0.6237 0.1361
F5 F 0.4640 0.9750 0.8659
F6 F 0.4797 0.2371 0.3676
```



No. 5
Starting from a structure optimized by DFT (PBE), the PXRD pattern of Ga3Te3Cl was simulated for copper Kα.
Peak positions follow from Bragg's law for the DFT cell and can differ from measured ones.

Largest 10 diffraction maxima, in order of rising 2θ, 10 to 90 degrees two-theta:
- 2θ 11.93, rel. 24
- 2θ 24.00, rel. 27
- 2θ 26.47, rel. 30
- 2θ 26.76, rel. 100
- 2θ 28.24, rel. 18
- 2θ 43.20, rel. 19
- 2θ 43.39, rel. 25
- 2θ 45.40, rel. 30
- 2θ 46.36, rel. 17
- 2θ 47.98, rel. 18

Crystal structure
```
data_Ga3Te3Cl
_symmetry_space_group_name_H-M 'P n m a'
_symmetry_Int_Tables_number 62
_cell_length_a 11.0782
_cell_length_b 4.1710
_cell_length_c 19.9669
_cell_angle_alpha 90.00
_cell_angle_beta 90.00
_cell_angle_gamma 90.00
loop_
_symmetry_equiv_pos_as_xyz
'x,y,z'
'-x,-y,-z'
'-x+1/2,-y,z+1/2'
'x+1/2,y,-z+1/2'
'x+1/2,-y+1/2,-z+1/2'
'-x+1/2,y+1/2,z+1/2'
'-x,y+1/2,-z'
'x,-y+1/2,z'
loop_
_atom_site_label
_atom_site_type_symbol
_atom_site_fract_x
_atom_site_fract_y
_atom_site_fract_z
Ga1 Ga 0.0521 0.2500 0.0999
Ga2 Ga 0.1573 0.2500 0.6341
Ga3 Ga 0.1697 0.2500 0.9943
Te1 Te 0.0921 0.2500 0.8672
Te2 Te 0.1727 0.2500 0.5009
Te3 Te 0.2310 0.2500 0.1921
Cl1 Cl 0.0339 0.7500 0.3341
```



No. 6
Starting from a structure optimized by DFT (PBE), the PXRD pattern of LiAg was simulated for copper Kα.
Peak positions follow from Bragg's law for the DFT cell and can differ from measured ones.

Largest 10 diffraction maxima, in order of rising 2θ, 10 to 90 degrees two-theta:
- 2θ 24.69, rel. 100
- 2θ 38.48, rel. 74
- 2θ 39.56, rel. 28
- 2θ 43.55, rel. 13
- 2θ 45.32, rel. 23
- 2θ 52.28, rel. 24
- 2θ 61.69, rel. 14
- 2θ 64.66, rel. 15
- 2θ 76.56, rel. 9
- 2θ 79.09, rel. 17

Crystal structure
```
data_LiAg
_symmetry_space_group_name_H-M 'I 41/a m d'
_symmetry_Int_Tables_number 141
_cell_length_a 4.0025
_cell_length_b 4.0025
_cell_length_c 8.3130
_cell_angle_alpha 90.00
_cell_angle_beta 90.00
_cell_angle_gamma 90.00
loop_
_symmetry_equiv_pos_as_xyz
'x,y,z'
'-x,-y,-z'
'-y+1/4,x+3/4,z+1/4'
'y+1/4,-x+3/4,-z+1/4'
'-x+1/2,-y,z+1/2'
'x+1/2,y,-z+1/2'
'y+1/4,-x+1/4,z+3/4'
'-y+1/4,x+1/4,-z+3/4'
'x,-y,-z'
'-x,y,z'
'-y+1/4,-x+1/4,-z+3/4'
'y+1/4,x+1/4,z+3/4'
'-x+1/2,y,-z+1/2'
'x+1/2,-y,z+1/2'
'y+1/4,x+3/4,-z+1/4'
'-y+1/4,-x+3/4,z+1/4'
'x+1/2,y+1/2,z+1/2'
'-x+1/2,-y+1/2,-z+1/2'
'-y+3/4,x+1/4,z+3/4'
'y+3/4,-x+1/4,-z+3/4'
'-x,-y+1/2,z'
'x,y+1/2,-z'
'y+3/4,-x+3/4,z+1/4'
'-y+3/4,x+3/4,-z+1/4'
'x+1/2,-y+1/2,-z+1/2'
'-x+1/2,y+1/2,z+1/2'
'-y+3/4,-x+3/4,-z+1/4'
'y+3/4,x+3/4,z+1/4'
'-x,y+1/2,-z'
'x,-y+1/2,z'
'y+3/4,x+1/4,-z+3/4'
'-y+3/4,-x+1/4,z+3/4'
loop_
_atom_site_label
_atom_site_type_symbol
_atom_site_fract_x
_atom_site_fract_y
_atom_site_fract_z
Li1 Li 0.0000 0.2500 0.3750
Ag1 Ag 0.0000 0.2500 0.8750
```